The following is a simulated powder diffractogram of Er2ScTe3. It was derived from DFT lattice parameters and positions (GGA-PBE), using Cu Kα (weighted mean of Kα1 and Kα2).

Cell and atoms:
```
12
Lattice="3.607 2.083 7.414 -3.607 2.083 7.414 0.000 -4.165 7.414" Properties=species:S:1:pos:R:3 pbc="T T T"
Er 0.000 0.000 3.739
Er 0.000 0.000 7.382
Er 0.000 0.000 14.860
Er 0.000 0.000 18.503
Sc 0.000 0.000 0.000
Sc 0.000 0.000 11.121
Te -2.377 0.047 9.268
Te -1.230 -2.035 12.975
Te 1.148 -2.083 9.268
Te -1.148 2.083 12.975
Te 1.230 2.035 9.268
Te 2.377 -0.047 12.975
```

Top 12 peaks for 15° ≤ 2θ ≤ 90°, by angle:
16.3°, d = 5.447 Å, I 13; 24.7°, d = 3.607 Å, I 14; 27.5°, d = 3.244 Å, I 61; 34.7°, d = 2.585 Å, I 100; 43.5°, d = 2.083 Å, I 47; 44.4°, d = 2.039 Å, I 16; 49.2°, d = 1.854 Å, I 11; 52.2°, d = 1.752 Å, I 10; 56.8°, d = 1.622 Å, I 24; 67.7°, d = 1.385 Å, I 25; 74.1°, d = 1.280 Å, I 22; 82.5°, d = 1.169 Å, I 8